The following is a computed powder XRD pattern of TbTc2BC. It was derived from a DFT-relaxed cell (PBE, Alexandria), using Cu Kα X-rays.
No peak broadening, texture or thermal motion is included.

Structural model:
abc: 5.731 5.731 7.198
angles: 90.00 90.00 144.36
Sites, in units of the cell vectors:
Tb  0.043  0.957  0.750
Tb  0.957  0.043  0.250
Tc  0.326  0.674  0.564
Tc  0.326  0.674  0.936
Tc  0.674  0.326  0.064
Tc  0.674  0.326  0.436
B  0.235  0.765  0.250
B  0.765  0.235  0.750
C  0.500  0.500  0.000
C  0.500  0.500  0.500

Peak list (10 most intense, 10 to 80 degrees two-theta, by angle)
29.5 deg, d 3.029, I 38
29.7 deg, d 3.004, I 65
35.2 deg, d 2.551, I 52
35.6 deg, d 2.525, I 92
36.7 deg, d 2.448, I 100
37.8 deg, d 2.383, I 22
41.1 deg, d 2.196, I 39
52.2 deg, d 1.754, I 25
63.4 deg, d 1.466, I 35
67.0 deg, d 1.397, I 18